Diffraction record for Pr2Ga3Pt2. The PXRD pattern is computed, not measured: it uses a crystal structure in Alexandria, relaxed with PBE and Cu Kα (λ = 1.5418 Å).
Peak positions follow from Bragg's law for the DFT cell and can differ from measured ones.

Lattice parameters (Å, degrees): 4.269 18.778 7.329 90.00 90.00 90.00
Space group Cmcm (No. 63)
Unique sites:
Pr (0.000, 0.064, 0.250) [4 per cell]
Pr (0.000, 0.158, 0.750) [4 per cell]
Ga (0.000, 0.228, 0.250) [4 per cell]
Ga (0.000, 0.442, 0.077) [8 per cell]
Pt (0.000, 0.311, 0.552) [8 per cell]

Principal peaks in the range 2θ = 10–90°, by intensity:
2θ/deg  I_rel  (hkl)
32.6  100  1 1 2
34.1  98  1 5 1
41.7  75  0 4 3
35.3  61  1 3 2
42.3  57  2 0 0
60.9  44  2 4 3
38.3  40  0 8 0
40.4  36  1 5 2
31.7  29  1 5 0
55.0  27  0 10 2